Record 1
Theoretical powder diffraction line list
Compound: Sm4Hg2Te
Radiation: Cu Kα (weighted mean of Kα1 and Kα2)
Structure: a PBE-relaxed structure
Peak positions follow from Bragg's law for the DFT cell and can differ from measured ones.

Peak list (12 most intense, 2θ = 10–90°, in order of falling intensity)
- d = 2.937 Å, intensity 100
- d = 2.776 Å, intensity 81
- d = 2.796 Å, intensity 74
- d = 2.558 Å, intensity 69
- d = 2.619 Å, intensity 51
- d = 3.310 Å, intensity 36
- d = 2.712 Å, intensity 35
- d = 2.082 Å, intensity 34
- d = 1.442 Å, intensity 23
- d = 2.127 Å, intensity 22
- d = 1.655 Å, intensity 22
- d = 1.390 Å, intensity 21

Lattice parameters (Å, degrees): 5.9049 6.6200 10.6143 90.00 100.28 90.00
Fractional positions:
Sm 0.0662 0.2500 0.1377
Sm 0.1838 0.7500 0.4537
Sm 0.3910 0.0156 0.7387
Sm 0.3910 0.4844 0.7387
Sm 0.6090 0.5156 0.2613
Sm 0.6090 0.9844 0.2613
Sm 0.8162 0.2500 0.5463
Sm 0.9338 0.7500 0.8623
Hg 0.2752 0.2500 0.4377
Hg 0.4802 0.7500 0.9908
Hg 0.5198 0.2500 0.0092
Hg 0.7248 0.7500 0.5623
Te 0.0651 0.7500 0.1637
Te 0.9349 0.2500 0.8363

Record 2
Theoretical powder diffraction line list
Compound: Rb3AuF6
Radiation: Cu Kα (weighted mean of Kα1 and Kα2)
Structure: a PBE-relaxed structure
Peak positions follow from Bragg's law for the DFT cell and can differ from measured ones.

Peak list (12 most intense, 2θ = 10–90°, in order of falling intensity)
- d = 3.373 Å, intensity 100
- d = 1.947 Å, intensity 42
- d = 2.385 Å, intensity 36
- d = 1.275 Å, intensity 23
- d = 1.686 Å, intensity 23
- d = 1.508 Å, intensity 20
- d = 5.507 Å, intensity 19
- d = 4.770 Å, intensity 15
- d = 1.124 Å, intensity 12
- d = 2.876 Å, intensity 8
- d = 1.377 Å, intensity 7
- d = 2.133 Å, intensity 7

Lattice parameters (Å, degrees): 6.7452 6.7452 6.7452 60.00 60.00 60.00
Fractional positions:
Rb 0.0000 0.0000 0.0000
Rb 0.2500 0.2500 0.2500
Rb 0.7500 0.7500 0.7500
Au 0.5000 0.5000 0.5000
F 0.2749 0.2749 0.7251
F 0.2749 0.7251 0.2749
F 0.2749 0.7251 0.7251
F 0.7251 0.2749 0.2749
F 0.7251 0.2749 0.7251
F 0.7251 0.7251 0.2749

Record 3
Theoretical powder diffraction line list
Compound: MgGaCuRu
Radiation: Cu Kα (weighted mean of Kα1 and Kα2)
Structure: a PBE-relaxed structure
Peak positions follow from Bragg's law for the DFT cell and can differ from measured ones.

Peak list (12 most intense, 2θ = 10–90°, in order of falling intensity)
- d = 2.188 Å, intensity 100
- d = 2.136 Å, intensity 23
- d = 2.064 Å, intensity 21
- d = 1.243 Å, intensity 15
- d = 1.484 Å, intensity 14
- d = 1.214 Å, intensity 14
- d = 4.272 Å, intensity 14
- d = 1.094 Å, intensity 10
- d = 1.619 Å, intensity 9
- d = 2.969 Å, intensity 9
- d = 1.290 Å, intensity 8
- d = 1.274 Å, intensity 8

Lattice parameters (Å, degrees): 3.2371 4.1286 4.2725 90.00 90.00 90.00
Fractional positions:
Mg 0.0000 0.0000 0.0000
Ga 0.0000 0.5000 0.5000
Cu 0.5000 0.5000 0.0000
Ru 0.5000 0.0000 0.5000

Record 4
Theoretical powder diffraction line list
Compound: NdH8Pt2
Radiation: Cu Kα (weighted mean of Kα1 and Kα2)
Structure: a PBE-relaxed structure
Peak positions follow from Bragg's law for the DFT cell and can differ from measured ones.

Peak list (12 most intense, 2θ = 10–90°, in order of falling intensity)
- d = 2.704 Å, intensity 100
- d = 2.292 Å, intensity 30
- d = 1.390 Å, intensity 26
- d = 1.675 Å, intensity 25
- d = 4.904 Å, intensity 23
- d = 4.153 Å, intensity 22
- d = 2.452 Å, intensity 19
- d = 3.242 Å, intensity 16
- d = 1.460 Å, intensity 15
- d = 1.352 Å, intensity 12
- d = 1.621 Å, intensity 11
- d = 2.077 Å, intensity 9

Lattice parameters (Å, degrees): 5.8788 5.8788 5.8788 134.10 134.10 66.93
Fractional positions:
Nd 0.0000 0.0000 0.0000
H 0.1171 0.1171 0.5486
H 0.1171 0.5685 0.0000
H 0.4315 0.4315 0.5486
H 0.4315 0.8829 0.0000
H 0.5685 0.1171 0.0000
H 0.5685 0.5685 0.4514
H 0.8829 0.4315 0.0000
H 0.8829 0.8829 0.4514
Pt 0.2500 0.7500 0.5000
Pt 0.7500 0.2500 0.5000